# TcGeAs2
Theoretical powder diffractogram, Cu Kα (λ = 1.5418 Å). Input: a cell relaxed with GGA-PBE.

Atomic structure:
abc: 6.967 6.967 6.967
angles: 131.30 131.30 71.33
Fractional coordinates of all 8 atoms:
Tc  0.000  0.000  0.000
Tc  0.750  0.250  0.500
Ge  0.250  0.750  0.500
Ge  0.500  0.500  0.000
As  0.101  0.625  0.976
As  0.375  0.351  0.476
As  0.649  0.125  0.024
As  0.875  0.899  0.524

Most intense lines, 2θ from 10° to 90°, most intense first:
2θ (°)	d [Å]	I_rel
27.02	3.300	100
44.97	2.016	48
52.94	1.730	29
44.61	2.031	24
82.46	1.170	15
53.56	1.711	15
72.19	1.309	11
83.21	1.161	8